Diffraction record for MgW4O8. The powder diffraction line list is calculated, not measured: it uses the GGA+U geometry in Alexandria and λ = 1.5418 Å (Cu Kα).
Intensities are scaled so that the largest is 100.

Peak list (8 most intense, 2θ from 15° to 90°, sorted by position)
- 2θ = 18.0°, d = 4.931 Å, intensity 100, (0 1 1)
- 2θ = 28.0°, d = 3.185 Å, intensity 46, (0 1 2)
- 2θ = 30.5°, d = 2.933 Å, intensity 66, (0 2 -2)
- 2θ = 32.7°, d = 2.735 Å, intensity 96, (1 0 -2)
- 2θ = 32.8°, d = 2.728 Å, intensity 42, (1 1 -1)
- 2θ = 33.1°, d = 2.709 Å, intensity 39, (1 -2 0)
- 2θ = 33.9°, d = 2.642 Å, intensity 43, (1 1 0)
- 2θ = 35.2°, d = 2.547 Å, intensity 53, (0 0 3)

Atomic structure:
Unit cell a=3.2418 b=7.7344 c=7.9188 alpha=97.14 beta=101.67 gamma=101.62
Positions (direct):
Mg  0.0000  0.0000  0.0000
W  0.2062  0.3682  0.0184
W  0.3301  0.0155  0.6446
W  0.6881  0.6537  0.7307
W  0.8597  0.3268  0.3839
O  0.0552  0.5014  0.6095
O  0.3000  0.1664  0.4517
O  0.3520  0.8534  0.8578
O  0.3907  0.4592  0.2954
O  0.6557  0.1774  0.1153
O  0.6897  0.8562  0.5554
O  0.7402  0.5149  0.9460
O  0.9892  0.1496  0.7903